For RbCoAgTeSe2, DFT lattice parameters and positions (PBE) gives the simulated powder X-ray diffraction pattern in this record (a wavelength of 1.5418 Å).

Largest 12 diffraction maxima, sorted by position, 2θ = 10–80°:
| Position (°2θ) | d/Å | I/Imax |
| --- | --- | --- |
| 10.58 | 8.360 | 100 |
| 30.55 | 2.926 | 93 |
| 32.12 | 2.787 | 23 |
| 34.30 | 2.614 | 49 |
| 36.50 | 2.462 | 30 |
| 39.26 | 2.295 | 34 |
| 47.70 | 1.907 | 14 |
| 50.11 | 1.820 | 17 |
| 50.94 | 1.793 | 15 |
| 53.11 | 1.725 | 25 |
| 57.89 | 1.593 | 14 |
| 62.13 | 1.494 | 20 |

Structure:
Lattice parameters (Å, degrees): 8.556 8.556 10.458 90.00 90.00 155.43
Sites, in units of the cell vectors:
Rb  0.249  0.751  0.750
Rb  0.751  0.249  0.250
Co  0.500  0.500  0.000
Co  0.500  0.500  0.500
Ag  0.075  0.925  0.250
Ag  0.925  0.075  0.750
Te  0.443  0.557  0.250
Te  0.557  0.443  0.750
Se  0.097  0.903  0.012
Se  0.097  0.903  0.488
Se  0.903  0.097  0.512
Se  0.903  0.097  0.988